Entry 1:
For GeN2F6, a crystal structure in the Materials Project, relaxed with PBE gives the calculated PXRD pattern in this record (Cu Kα, 1.54184 Å).

Principal peaks in the range 10 to 90 degrees two-theta, in order of rising 2θ:
- (0 0 2), 2θ = 18.68°, I 37.4
- (1 0 0), 2θ = 19.48°, I 21.8
- (1 0 1), 2θ = 21.63°, I 100.0
- (1 0 2), 2θ = 27.12°, I 23.6
- (1 0 3), 2θ = 34.49°, I 22.4
- (1 1 2), 2θ = 39.14°, I 17.8
- (2 0 2), 2θ = 44.08°, I 34.5
- (2 0 3), 2θ = 49.27°, I 23.4
- (1 1 4), 2θ = 51.86°, I 14.8
- (2 1 1), 2θ = 54.12°, I 13.5

Crystal structure
Unit cell a=5.2618 b=5.2618 c=9.5007 alpha=90.00 beta=90.00 gamma=120.00
Space group P6_3mc (No. 186)
Inequivalent atoms, fractional coordinates:
Ge: 0.3333 0.6667 0.0000 (multiplicity 2)
N: 0.0000 0.0000 0.3410 (multiplicity 2)
N: 0.3333 0.6667 0.6147 (multiplicity 2)
F: 0.0100 0.5050 0.8846 (multiplicity 6)
F: 0.1699 0.3398 0.1099 (multiplicity 6)

Entry 2:
For Sr2MgTi2O6, a crystal structure in the Materials Project, relaxed with PBE gives the calculated PXRD pattern in this record (Cu Kα, 1.54184 Å).

Principal peaks in the range 10 to 90 degrees two-theta, in order of rising 2θ:
- (1 1 0), 2θ = 18.39°, I 21.1
- (0 2 1), 2θ = 29.92°, I 43.5
- (2 0 -2), 2θ = 30.23°, I 27.8
- (2 2 -1), 2θ = 31.58°, I 100.0
- (1 1 1), 2θ = 33.67°, I 55.9
- (1 1 -2), 2θ = 34.13°, I 36.3
- (0 4 0), 2θ = 45.27°, I 76.8
- (3 1 0), 2θ = 46.45°, I 23.8
- (1 3 1), 2θ = 46.85°, I 19.0
- (4 4 -2), 2θ = 65.94°, I 20.8

Crystal structure
Unit cell a=8.0207 b=8.0081 c=5.9497 alpha=90.00 beta=131.08 gamma=90.00
Space group C2/m (No. 12)
Inequivalent atoms, fractional coordinates:
Sr: 0.1681 0.0000 0.3711 (multiplicity 4)
Mg: 0.0000 0.5000 0.0000 (multiplicity 2)
Ti: 0.2500 0.2500 0.0000 (multiplicity 4)
O: 0.0000 0.2290 0.5000 (multiplicity 4)
O: 0.0000 0.2528 0.0000 (multiplicity 4)
O: 0.2347 0.5000 0.9755 (multiplicity 4)

Entry 3:
For Tl3SiF7, a crystal structure in the Materials Project, relaxed with PBE gives the calculated PXRD pattern in this record (Cu Kα, 1.54184 Å).

Principal peaks in the range 10 to 90 degrees two-theta, in order of rising 2θ:
- (1 1 0), 2θ = 12.68°, I 9.9
- (0 0 2), 2θ = 25.53°, I 44.6
- (2 2 1), 2θ = 28.60°, I 100.0
- (0 4 2), 2θ = 36.42°, I 37.5
- (4 0 0), 2θ = 44.98°, I 18.4
- (2 2 3), 2θ = 46.96°, I 31.0
- (2 6 2), 2θ = 52.45°, I 28.9
- (0 8 1), 2θ = 54.18°, I 17.1
- (4 8 1), 2θ = 72.97°, I 9.9
- (2 2 5), 2θ = 73.05°, I 12.4

Crystal structure
Unit cell a=8.0551 b=13.9718 c=6.9731 alpha=90.00 beta=90.00 gamma=90.00
Space group Cmc2_1 (No. 36)
Inequivalent atoms, fractional coordinates:
Tl: 0.0000 0.1555 0.0000 (multiplicity 4)
Tl: 0.2372 0.0867 0.4995 (multiplicity 8)
Si: 0.0000 0.3343 0.5433 (multiplicity 4)
F: 0.0000 0.0037 0.2563 (multiplicity 4)
F: 0.0000 0.2405 0.3902 (multiplicity 4)
F: 0.0000 0.4312 0.6956 (multiplicity 4)
F: 0.1494 0.2793 0.6837 (multiplicity 8)
F: 0.1507 0.3895 0.4060 (multiplicity 8)

Entry 4:
For Rb2MgO2, a crystal structure in the Materials Project, relaxed with PBE gives the calculated PXRD pattern in this record (Cu Kα, 1.54184 Å).

Principal peaks in the range 10 to 90 degrees two-theta, in order of rising 2θ:
- (2 1 1), 2θ = 26.58°, I 69.6
- (3 1 0), 2θ = 27.89°, I 54.5
- (0 0 2), 2θ = 32.14°, I 36.6
- (1 2 1), 2θ = 33.00°, I 100.0
- (1 1 2), 2θ = 36.04°, I 17.5
- (4 1 1), 2θ = 38.99°, I 32.6
- (4 0 2), 2θ = 46.32°, I 23.4
- (5 2 1), 2θ = 52.81°, I 27.1
- (1 2 3), 2θ = 57.85°, I 18.5
- (3 3 2), 2θ = 59.74°, I 21.4

Crystal structure
Unit cell a=11.0361 b=6.4781 c=5.5697 alpha=90.00 beta=90.00 gamma=90.00
Space group Pbcn (No. 60)
Inequivalent atoms, fractional coordinates:
Rb: 0.1545 0.1416 0.0018 (multiplicity 8)
Mg: 0.0000 0.5004 0.2500 (multiplicity 4)
O: 0.0907 0.3321 0.4998 (multiplicity 8)